# Ba3In2Hg
Computed X-ray diffraction stick pattern, Cu Kα, 1.54184 Å. Input: a PBE-relaxed structure.
No peak broadening, texture or thermal motion is included.

Atomic structure:
```
Ba3In2Hg
1.0
4.2529 0.0000 0.0000
0.0000 4.2529 0.0000
0.0000 0.0000 12.7981
Ba In Hg
3 2 1
direct
0.0000 0.0000 0.0000
0.0000 0.0000 0.3345
0.0000 0.0000 0.6655
0.5000 0.5000 0.1650
0.5000 0.5000 0.8350
0.5000 0.5000 0.5000
```

Top 12 peaks for 5° ≤ 2θ ≤ 70°, sorted by position:
d/Å  2θ/deg  I/Imax
12.798  6.9  3.6
6.399  13.8  1.1
4.036  22.0  1.2
3.542  25.1  1.0
3.010  29.7  100.0
2.133  42.4  6.3
2.126  42.5  12.5
1.738  52.7  39.7
1.506  61.6  8.3
1.504  61.7  4.1
1.349  69.7  5.7
1.345  69.9  11.4



# BaIn7Hg5
Computed X-ray diffraction stick pattern, Cu Kα, 1.54184 Å. Input: a PBE-relaxed structure.
No peak broadening, texture or thermal motion is included.

Atomic structure:
```
BaIn7Hg5
1.0
6.0380 -5.5705 0.0000
6.0380 5.5705 0.0000
-2.8016 0.0000 5.3923
Ba In Hg
1 7 5
direct
0.0000 0.0000 0.0000
0.2107 0.7801 0.5162
0.3566 0.3566 0.3209
0.3594 0.6387 0.9724
0.6387 0.3594 0.9724
0.6388 0.6388 0.6194
0.7801 0.2107 0.5162
0.7837 0.7837 0.3049
0.0014 0.4345 0.4074
0.2058 0.2058 0.7390
0.4345 0.0014 0.4074
0.5578 0.9937 0.9619
0.9937 0.5578 0.9619
```

Top 12 peaks for 5° ≤ 2θ ≤ 70°, sorted by position:
d/Å  2θ/deg  I/Imax
5.355  16.6  44.4
2.785  32.1  52.3
2.757  32.5  69.2
2.738  32.7  66.5
2.697  33.2  100.0
2.679  33.4  46.1
2.665  33.6  76.4
2.653  33.8  58.7
2.589  34.7  36.8
2.472  36.3  40.8
2.427  37.0  57.5
2.347  38.3  38.9



# Ba4In3Hg
Computed X-ray diffraction stick pattern, Cu Kα, 1.54184 Å. Input: a PBE-relaxed structure.
No peak broadening, texture or thermal motion is included.

Atomic structure:
```
Ba4In3Hg
1.0
11.9967 0.0000 0.0000
0.0000 8.6221 0.0000
0.0000 0.0000 5.9974
Ba In Hg
8 6 2
direct
0.0000 0.2471 0.0000
0.0000 0.7529 0.0000
0.2500 0.2471 0.4993
0.2500 0.7529 0.4993
0.5000 0.2471 0.0000
0.5000 0.7529 0.0000
0.7500 0.2471 0.5007
0.7500 0.7529 0.5007
0.0000 0.5000 0.5000
0.2500 0.0000 0.9994
0.2500 0.5000 0.9991
0.5000 0.5000 0.5000
0.7500 0.0000 0.0006
0.7500 0.5000 0.0009
0.0000 0.0000 0.5000
0.5000 0.0000 0.5000
```

Top 12 peaks for 5° ≤ 2θ ≤ 70°, sorted by position:
d/Å  2θ/deg  I/Imax
8.622  10.3  1.8
5.998  14.8  1.4
4.924  18.0  1.8
3.023  29.5  100.0
2.999  29.8  49.0
2.156  41.9  9.6
2.121  42.6  18.3
1.750  52.3  20.0
1.736  52.7  39.0
1.512  61.3  12.3
1.499  61.9  6.0
1.361  69.0  8.7